For Li3Zn, a PBE-relaxed structure gives the computed powder diffraction line list in this record (λ = 1.5418 Å (Cu Kα)).
Peak positions follow from Bragg's law for the DFT cell and can differ from measured ones.

Crystal structure
```
data_Li3Zn
_chemical_formula_sum 'Li6 Zn2'
_symmetry_space_group_name_H-M 'P 63/m m c'
_symmetry_Int_Tables_number 194
_symmetry_space_group_name_Hall '-P 6c 2c'
_cell_length_a 5.7719
_cell_length_b 5.7719
_cell_length_c 4.6677
_cell_angle_alpha 90.00
_cell_angle_beta 90.00
_cell_angle_gamma 120.00
loop_
_atom_site_label
_atom_site_type_symbol
_atom_site_fract_x
_atom_site_fract_y
_atom_site_fract_z
_atom_site_occupancy
Li1 Li 0.1718 0.3437 0.2500 1
Zn1 Zn 0.3333 0.6667 0.7500 1
```

Most intense lines, 10 to 90 degrees two-theta, sorted by position:
d = 4.999 Å, 17.74 deg, rel. 44, hkl 1 0 0
d = 3.412 Å, 26.12 deg, rel. 100, hkl 1 0 1
d = 2.886 Å, 30.99 deg, rel. 44, hkl 1 1 0
d = 2.499 Å, 35.93 deg, rel. 12, hkl 2 0 0
d = 2.334 Å, 38.58 deg, rel. 14, hkl 0 0 2
d = 2.203 Å, 40.96 deg, rel. 52, hkl 2 0 1
d = 1.815 Å, 50.28 deg, rel. 22, hkl 1 1 2
d = 1.751 Å, 52.23 deg, rel. 29, hkl 2 1 1
d = 1.329 Å, 70.91 deg, rel. 11, hkl 3 1 1
d = 1.227 Å, 77.82 deg, rel. 9, hkl 2 2 2